[1]
Theoretical powder X-ray diffraction pattern
Compound: BeP2Os
Radiation: λ = 1.5418 Å (Cu Kα)
Structure: the PBE geometry in Alexandria

Main lines, most intense first (2θ = 10–90°):
two_theta	I (rel.)	hkl
30.8	100	0 1 1
21.1	74	0 0 1
29.4	65	1 0 0
30.6	63	1 0 -1
47.7	46	1 1 1
22.3	44	0 1 0

Structure:
```
data_BeP2Os
_chemical_formula_sum 'Be1 P2 Os1'
_space_group_name_H-M_alt 'P 1 2/m 1'
_space_group_IT_number 10
_space_group_name_Hall '-P 2y'
_cell_length_a 3.1862
_cell_length_b 3.9937
_cell_length_c 4.4219
_cell_angle_alpha 90.00
_cell_angle_beta 107.68
_cell_angle_gamma 90.00
loop_
_atom_site_label
_atom_site_fract_x
_atom_site_fract_y
_atom_site_fract_z
_atom_site_occupancy
Be1 0.0000 0.0000 0.0000 1
P1 0.3535 0.5000 0.1912 1
Os1 0.5000 0.0000 0.5000 1
```

---

[2]
Theoretical powder X-ray diffraction pattern
Compound: PaBeOs
Radiation: λ = 1.5418 Å (Cu Kα)
Structure: the PBE geometry in Alexandria

Main lines, most intense first (2θ = 10–90°):
two_theta	I (rel.)	hkl
39.3	100	2 0 0
19.7	45	0 1 1
34.9	45	1 1 2
41.4	37	1 0 3
73.6	18	2 2 4
59.4	16	0 2 4

Structure:
```
data_PaBeOs
_chemical_formula_sum 'Pa4 Be4 Os4'
_space_group_name_H-M_alt 'I m m a'
_space_group_IT_number 74
_space_group_name_Hall '-I 2b 2'
_cell_length_a 4.5729
_cell_length_b 5.6671
_cell_length_c 7.4512
_cell_angle_alpha 90.00
_cell_angle_beta 90.00
_cell_angle_gamma 90.00
loop_
_atom_site_label
_atom_site_fract_x
_atom_site_fract_y
_atom_site_fract_z
_atom_site_occupancy
Pa1 0.0000 0.2500 0.1312 1
Be1 0.2500 0.2500 0.7500 1
Os1 0.0000 0.0000 0.5000 1
```

---

[3]
Theoretical powder X-ray diffraction pattern
Compound: PaBeSi2Os2
Radiation: λ = 1.5418 Å (Cu Kα)
Structure: the PBE geometry in Alexandria

Main lines, most intense first (2θ = 10–90°):
two_theta	I (rel.)	hkl
19.5	100	0 0 4
35.2	97	1 1 2
45.4	62	1 1 6
24.2	47	1 0 1
81.7	33	2 0 12
52.7	30	2 0 4

Structure:
```
data_PaBeSi2Os2
_chemical_formula_sum 'Pa2 Be2 Si4 Os4'
_space_group_name_H-M_alt 'I 4/m m m'
_space_group_IT_number 139
_space_group_name_Hall '-I 4 2'
_cell_length_a 3.7590
_cell_length_b 3.7590
_cell_length_c 18.1876
_cell_angle_alpha 90.00
_cell_angle_beta 90.00
_cell_angle_gamma 90.00
loop_
_atom_site_label
_atom_site_fract_x
_atom_site_fract_y
_atom_site_fract_z
_atom_site_occupancy
Pa1 0.0000 0.0000 0.0000 1
Be1 0.0000 0.0000 0.5000 1
Si1 0.0000 0.0000 0.1617 1
Os1 0.0000 0.5000 0.2500 1
```

---

[4]
Theoretical powder X-ray diffraction pattern
Compound: Be4OsRh
Radiation: λ = 1.5418 Å (Cu Kα)
Structure: the PBE geometry in Alexandria

Main lines, most intense first (2θ = 10–90°):
two_theta	I (rel.)	hkl
44.8	100	1 1 1
28.5	96	0 1 1
28.3	49	0 0 2
33.9	28	1 0 0
50.3	26	0 1 3
62.0	20	1 1 3

Structure:
```
data_Be4OsRh
_chemical_formula_sum 'Be4 Os1 Rh1'
_space_group_name_H-M_alt 'P m m m'
_space_group_IT_number 47
_space_group_name_Hall '-P 2 2'
_cell_length_a 2.6439
_cell_length_b 3.6129
_cell_length_c 6.3003
_cell_angle_alpha 90.00
_cell_angle_beta 90.00
_cell_angle_gamma 90.00
loop_
_atom_site_label
_atom_site_fract_x
_atom_site_fract_y
_atom_site_fract_z
_atom_site_occupancy
Be1 0.0000 0.0000 0.1656 1
Be2 0.0000 0.5000 0.3334 1
Os1 0.5000 0.0000 0.5000 1
Rh1 0.5000 0.5000 0.0000 1
```

---

[5]
Theoretical powder X-ray diffraction pattern
Compound: Be17OsRu
Radiation: λ = 1.5418 Å (Cu Kα)
Structure: the PBE geometry in Alexandria

Main lines, most intense first (2θ = 10–90°):
two_theta	I (rel.)	hkl
24.7	100	1 1 0
16.5	90	1 0 1
35.7	89	1 1 3
51.1	44	0 3 3
22.1	36	0 1 2
43.5	32	3 0 0

Structure:
```
data_Be17OsRu
_chemical_formula_sum 'Be51 Os3 Ru3'
_space_group_name_H-M_alt 'R 3 m'
_space_group_IT_number 160
_space_group_name_Hall 'R 3 -2"'
_cell_length_a 7.2066
_cell_length_b 7.2066
_cell_length_c 10.5160
_cell_angle_alpha 90.00
_cell_angle_beta 90.00
_cell_angle_gamma 120.00
loop_
_atom_site_label
_atom_site_fract_x
_atom_site_fract_y
_atom_site_fract_z
_atom_site_occupancy
Be1 0.0000 0.0000 0.0486 1
Be2 0.0000 0.0000 0.2562 1
Be3 0.9999 0.3043 0.1527 1
Be4 0.0068 0.5034 0.3050 1
Be5 0.1672 0.3345 0.9865 1
Be6 0.1700 0.3399 0.3333 1
Os1 0.0000 0.0000 0.4919 1
Ru1 0.0000 0.0000 0.8119 1
```

---

[6]
Theoretical powder X-ray diffraction pattern
Compound: BeOsRu
Radiation: λ = 1.5418 Å (Cu Kα)
Structure: the PBE geometry in Alexandria

Main lines, most intense first (2θ = 10–90°):
two_theta	I (rel.)	hkl
43.6	100	1 0 1
43.4	91	1 -2 1
28.8	73	-1 1 1
38.9	62	1 1 -1
45.3	59	0 2 0
46.1	47	-2 1 1

Structure:
```
data_BeOsRu
_chemical_formula_sum 'Be2 Os2 Ru2'
_space_group_name_H-M_alt 'P 1'
_space_group_IT_number 1
_space_group_name_Hall 'P 1'
_cell_length_a 3.9352
_cell_length_b 4.7260
_cell_length_c 5.0408
_cell_angle_alpha 98.31
_cell_angle_beta 112.92
_cell_angle_gamma 114.51
loop_
_atom_site_label
_atom_site_fract_x
_atom_site_fract_y
_atom_site_fract_z
_atom_site_occupancy
Be1 0.0000 0.0000 0.0000 1
Be2 0.0764 0.3832 0.7676 1
Os1 0.5949 0.9250 0.2649 1
Os2 0.7965 0.4812 0.1096 1
Ru1 0.2928 0.9133 0.6724 1
Ru2 0.4797 0.4541 0.5030 1
```